Entry 1:
Diffraction record for ErPu3P4. The XRD peak list is theoretical, not measured: it uses a structure optimized by DFT (GGA-PBE) and CuKα.

Largest 6 diffraction maxima, most intense first, 2θ from 15° to 90°:
two_theta  I_rel
27.4  100
31.7  93
45.5  70
53.9  50
75.4  32
84.1  25

Crystal structure
abc: 5.637 5.637 5.637
angles: 90.00 90.00 90.00
Sites, in units of the cell vectors:
Er 0.000 0.000 0.000
Pu 0.000 0.500 0.500
Pu 0.500 0.000 0.500
Pu 0.500 0.500 0.000
P 0.000 0.000 0.500
P 0.000 0.500 0.000
P 0.500 0.000 0.000
P 0.500 0.500 0.500

Entry 2:
Diffraction record for Na8B11C5. The XRD peak list is theoretical, not measured: it uses a structure optimized by DFT (GGA-PBE) and CuKα.

Largest 6 diffraction maxima, most intense first, 2θ from 15° to 90°:
two_theta  I_rel
42.2  100
42.2  57
41.0  56
63.6  19
36.4  19
77.1  15

Crystal structure
abc: 9.992 2.816 10.007
angles: 90.00 118.25 90.00
Sites, in units of the cell vectors:
Na 0.000 0.000 0.000
Na 0.001 0.500 0.502
Na 0.248 0.000 0.749
Na 0.251 0.500 0.255
Na 0.501 0.500 0.000
Na 0.503 0.000 0.502
Na 0.752 0.000 0.252
Na 0.752 0.500 0.748
B 0.029 0.500 0.778
B 0.055 0.000 0.307
B 0.202 0.500 0.950
B 0.226 0.000 0.476
B 0.315 0.000 0.065
B 0.459 0.500 0.707
B 0.549 0.500 0.301
B 0.688 0.000 0.937
B 0.788 0.000 0.539
B 0.791 0.500 0.041
B 0.953 0.500 0.205
C 0.303 0.500 0.551
C 0.467 0.000 0.219
C 0.537 0.000 0.785
C 0.707 0.500 0.459
C 0.949 0.000 0.698

Entry 3:
Diffraction record for Er3Cd2Hg3. The XRD peak list is theoretical, not measured: it uses a structure optimized by DFT (GGA-PBE) and CuKα.

Largest 6 diffraction maxima, most intense first, 2θ from 15° to 90°:
two_theta  I_rel
34.4  100
34.8  25
35.5  22
62.2  18
50.5  16
63.0  15

Crystal structure
abc: 3.761 5.152 20.254
angles: 90.00 90.00 90.00
Sites, in units of the cell vectors:
Er 0.000 0.000 0.000
Er 0.000 0.500 0.130
Er 0.000 0.500 0.870
Er 0.500 0.000 0.370
Er 0.500 0.000 0.630
Er 0.500 0.500 0.500
Cd 0.000 0.000 0.241
Cd 0.000 0.000 0.759
Cd 0.500 0.500 0.259
Cd 0.500 0.500 0.741
Hg 0.000 0.000 0.500
Hg 0.000 0.500 0.379
Hg 0.000 0.500 0.621
Hg 0.500 0.000 0.121
Hg 0.500 0.000 0.879
Hg 0.500 0.500 0.000

Entry 4:
Diffraction record for Cs2K6Hg3. The XRD peak list is theoretical, not measured: it uses a structure optimized by DFT (GGA-PBE) and CuKα.

Largest 6 diffraction maxima, most intense first, 2θ from 15° to 90°:
two_theta  I_rel
21.5  100
27.8  48
15.9  48
40.5  35
28.5  28
45.6  27

Crystal structure
abc: 11.119 11.119 6.184
angles: 90.00 90.00 120.00
Sites, in units of the cell vectors:
Cs 0.333 0.667 0.000
Cs 0.667 0.333 0.000
K 0.000 0.311 0.500
K 0.000 0.778 0.000
K 0.222 0.222 0.000
K 0.311 0.000 0.500
K 0.689 0.689 0.500
K 0.778 0.000 0.000
Hg 0.000 0.631 0.500
Hg 0.369 0.369 0.500
Hg 0.631 0.000 0.500

Entry 5:
Diffraction record for Y5CoBi2. The XRD peak list is theoretical, not measured: it uses a structure optimized by DFT (GGA-PBE) and CuKα.

Largest 6 diffraction maxima, most intense first, 2θ from 15° to 90°:
two_theta  I_rel
30.8  100
31.5  73
33.3  28
40.6  24
24.1  18
43.2  16

Crystal structure
abc: 12.440 8.895 8.053
angles: 90.00 90.00 90.00
Sites, in units of the cell vectors:
Y 0.002 0.250 0.050
Y 0.064 0.538 0.325
Y 0.064 0.962 0.325
Y 0.190 0.250 0.617
Y 0.200 0.750 0.653
Y 0.300 0.250 0.153
Y 0.310 0.750 0.117
Y 0.436 0.038 0.825
Y 0.436 0.462 0.825
Y 0.498 0.750 0.550
Y 0.502 0.250 0.450
Y 0.564 0.538 0.175
Y 0.564 0.962 0.175
Y 0.690 0.250 0.883
Y 0.700 0.750 0.847
Y 0.800 0.250 0.347
Y 0.810 0.750 0.383
Y 0.936 0.038 0.675
Y 0.936 0.462 0.675
Y 0.998 0.750 0.950
Co 0.009 0.250 0.433
Co 0.491 0.750 0.933
Co 0.509 0.250 0.067
Co 0.991 0.750 0.567
Bi 0.173 0.009 0.929
Bi 0.173 0.491 0.929
Bi 0.327 0.509 0.429
Bi 0.327 0.991 0.429
Bi 0.673 0.009 0.571
Bi 0.673 0.491 0.571
Bi 0.827 0.509 0.071
Bi 0.827 0.991 0.071

Entry 6:
Diffraction record for HfMn2S4. The XRD peak list is theoretical, not measured: it uses a structure optimized by DFT (GGA-PBE) and CuKα.

Largest 6 diffraction maxima, most intense first, 2θ from 15° to 90°:
two_theta  I_rel
27.9  100
48.8  75
33.8  60
28.1  50
44.5  45
18.8  39

Crystal structure
abc: 7.492 7.492 10.526
angles: 90.00 90.00 90.00
Sites, in units of the cell vectors:
Hf 0.000 0.262 0.000
Hf 0.000 0.738 0.500
Hf 0.262 0.000 0.750
Hf 0.738 0.000 0.250
Mn 0.251 0.251 0.375
Mn 0.251 0.500 0.750
Mn 0.251 0.749 0.125
Mn 0.500 0.251 0.000
Mn 0.500 0.749 0.500
Mn 0.749 0.251 0.625
Mn 0.749 0.500 0.250
Mn 0.749 0.749 0.875
S 0.012 0.243 0.758
S 0.012 0.757 0.742
S 0.243 0.012 0.992
S 0.243 0.988 0.508
S 0.248 0.485 0.995
S 0.248 0.515 0.505
S 0.485 0.248 0.755
S 0.485 0.752 0.745
S 0.515 0.248 0.245
S 0.515 0.752 0.255
S 0.752 0.485 0.005
S 0.752 0.515 0.495
S 0.757 0.012 0.008
S 0.757 0.988 0.492
S 0.988 0.243 0.242
S 0.988 0.757 0.258